Record 1
For MgFe8O8F8, a GGA+U-relaxed structure gives the theoretical X-ray powder pattern in this record (Cu Kα).

Crystal structure
```
25
Lattice="9.7941 0.0000 0.0000 0.0000 3.1254 0.0000 -0.6445 0.0000 10.0911" Properties=species:S:1:pos:R:3 pbc="T T T"
Mg 0.0000 0.0000 0.0000
Fe -0.4268 1.5627 6.8211
Fe 2.1024 0.0000 4.8812
Fe 2.9010 0.0000 9.8084
Fe 4.2576 1.5627 2.6255
Fe 4.1815 1.5627 7.1498
Fe 6.2378 0.0000 10.0768
Fe 7.0417 0.0000 4.8968
Fe 9.4437 1.5627 2.9571
O 0.5800 0.0000 3.4590
O 1.0943 1.5627 5.8180
O 2.9832 1.5627 3.9840
O 3.0962 1.5627 8.7313
O 3.7382 0.0000 1.6000
O 3.5254 0.0000 6.2892
O 7.8254 1.5627 3.9875
O 8.3078 0.0000 6.3477
F 0.1183 0.0000 8.3132
F 0.7991 1.5627 0.8555
F 5.4834 0.0000 3.5321
F 5.4641 0.0000 8.2357
F 6.0529 1.5627 0.9899
F 5.9395 1.5627 5.8569
F 7.7740 1.5627 9.4439
F 8.4864 0.0000 1.5346
```

Main lines, sorted by position (10 to 80 degrees two-theta):
d_spacing	2θ (°)	I/Imax
4.887	18.15	24.9
3.628	24.54	88.5
3.404	26.18	100.0
3.258	27.37	25.3
2.857	31.31	40.2
2.657	33.73	84.0
2.633	34.05	58.0
2.302	39.13	41.1
1.769	51.67	34.6
1.563	59.12	32.3

Record 2
For La2Fe2O5, a GGA+U-relaxed structure gives the theoretical X-ray powder pattern in this record (Cu Kα).

Crystal structure
```
9
Lattice="4.0742 0.0000 0.0000 -0.0373 4.1308 0.0000 -0.5350 -0.1378 7.5278" Properties=species:S:1:pos:R:3 pbc="T T T"
La 0.0000 0.0000 0.0000
La 0.2338 4.0037 3.7850
Fe 2.3003 1.9617 1.9820
Fe 2.1863 1.9476 5.4942
O 0.3778 1.9300 2.3476
O 0.1798 1.9570 5.2667
O 2.3968 4.0414 2.0670
O 2.3036 4.0094 5.3672
O 2.9586 2.0505 0.0079
```

Main lines, sorted by position (10 to 80 degrees two-theta):
d_spacing	2θ (°)	I/Imax
4.130	21.52	33.3
4.064	21.87	35.5
2.912	30.71	71.2
2.882	31.03	73.1
2.865	31.22	89.0
2.808	31.87	91.2
2.756	32.48	100.0
2.669	33.58	77.6
2.065	43.84	61.5
1.882	48.36	37.3

Record 3
For Mg2AgWO6, a GGA+U-relaxed structure gives the theoretical X-ray powder pattern in this record (Cu Kα).

Crystal structure
```
20
Lattice="5.2314 0.0000 0.0000 0.0000 5.3702 0.0000 -5.1603 0.0000 8.4663" Properties=species:S:1:pos:R:3 pbc="T T T"
Mg 0.0035 0.1664 1.8332
Mg -2.5766 2.5186 6.0663
Mg 2.6477 2.8515 2.4000
Mg 0.0676 5.2037 6.6331
Ag -2.5802 0.0000 4.2331
Ag 0.0000 2.6851 0.0000
W 2.6157 0.0000 0.0000
W 0.0356 2.6851 4.2331
O -4.2213 0.8960 8.1804
O -1.6411 1.7891 3.9472
O -3.3780 3.8976 7.4100
O -0.7978 4.1577 3.1769
O -1.7973 0.7750 6.8416
O 0.7829 1.9101 2.6084
O -0.7118 3.4601 5.8579
O 1.8684 4.5952 1.6247
O 0.8690 1.2125 5.2894
O 3.4491 1.4726 1.0562
O 1.7123 3.5811 4.5190
O 4.2924 4.4742 0.2859
```

Main lines, sorted by position (10 to 80 degrees two-theta):
d_spacing	2θ (°)	I/Imax
4.535	19.58	26.2
4.233	20.99	70.8
3.747	23.74	100.0
2.814	31.80	88.2
2.797	31.99	77.8
2.685	33.37	28.3
2.616	34.28	29.7
2.268	39.75	29.1
1.874	48.59	32.0
1.662	55.26	19.8

Record 4
For NaTl2MoF6, a GGA+U-relaxed structure gives the theoretical X-ray powder pattern in this record (Cu Kα).

Crystal structure
```
10
Lattice="0.0000 4.4123 4.4123 4.4123 0.0000 4.4123 4.4123 4.4123 0.0000" Properties=species:S:1:pos:R:3 pbc="T T T"
Na 0.0000 0.0000 0.0000
Tl 2.2061 2.2061 2.2061
Tl 6.6184 6.6184 6.6184
Mo 4.4123 4.4123 4.4123
F 4.4123 4.4123 2.3071
F 4.4123 2.3071 4.4123
F 6.5175 4.4123 4.4123
F 2.3071 4.4123 4.4123
F 4.4123 6.5175 4.4123
F 4.4123 4.4123 6.5175
```

Main lines, sorted by position (10 to 80 degrees two-theta):
d_spacing	2θ (°)	I/Imax
4.412	20.12	26.5
3.120	28.61	100.0
2.547	35.23	25.9
2.206	40.91	33.4
1.973	45.99	14.3
1.801	50.68	42.2
1.560	59.23	21.4
1.471	63.22	7.5
1.395	67.08	18.8
1.330	70.83	9.2

Record 5
For CaMn7O8, a GGA+U-relaxed structure gives the theoretical X-ray powder pattern in this record (Cu Kα).

Crystal structure
```
16
Lattice="5.5714 -3.2117 0.0000 5.5714 3.2117 0.0000 -1.8719 0.0000 5.2434" Properties=species:S:1:pos:R:3 pbc="T T T"
Ca 0.0000 0.0000 0.0000
Mn 2.7857 1.6058 0.0000
Mn 1.8555 0.0000 2.6316
Mn 4.6354 1.5882 2.6217
Mn 2.7857 -1.6058 0.0000
Mn 5.5714 0.0000 0.0000
Mn 4.6354 -1.5882 2.6217
Mn 7.4153 0.0000 2.6118
O 0.0256 0.0000 3.8920
O 2.7577 1.5611 3.9074
O 3.7173 0.0000 1.2919
O 6.5131 1.5611 1.3360
O 2.7577 -1.5611 3.9074
O 5.5536 0.0000 3.9515
O 6.5131 -1.5611 1.3360
O 9.2453 0.0000 1.3514
```

Main lines, sorted by position (10 to 80 degrees two-theta):
d_spacing	2θ (°)	I/Imax
5.479	16.18	1.1
5.245	16.90	0.8
2.623	34.18	88.4
2.276	39.59	50.5
2.270	39.71	100.0
1.607	57.34	73.2
1.604	57.44	14.6
1.372	68.38	11.7
1.369	68.54	23.2
1.312	71.99	26.7

Record 6
For LiTiFeO4, a GGA+U-relaxed structure gives the theoretical X-ray powder pattern in this record (Cu Kα).

Crystal structure
```
14
Lattice="5.1323 -2.9901 0.0000 5.1323 2.9901 0.0000 -3.3683 0.0000 4.8840" Properties=species:S:1:pos:R:3 pbc="T T T"
Li 0.0000 0.0000 0.0000
Li 5.0914 0.0000 1.8364
Ti 2.6347 1.5474 0.0419
Ti 2.6347 -1.5474 0.0419
Fe 1.8305 0.0000 3.0277
Fe 8.5596 0.0000 2.4352
O 4.0958 1.5798 1.1679
O 1.7697 0.0000 1.1024
O -0.0421 0.0000 3.7178
O 2.7016 1.5665 3.6849
O 4.0958 -1.5798 1.1679
O 5.0413 0.0000 3.8367
O 6.9420 0.0000 1.1180
O 2.7016 -1.5666 3.6849
```

Main lines, sorted by position (10 to 80 degrees two-theta):
d_spacing	2θ (°)	I/Imax
4.827	18.38	92.9
4.216	21.07	63.9
2.969	30.10	53.5
2.552	35.16	100.0
2.545	35.27	61.4
2.528	35.51	27.6
2.106	42.95	47.2
1.621	56.79	23.8
1.498	61.94	32.4
1.484	62.58	44.6

Record 7
For MgZn2Fe4O8, a GGA+U-relaxed structure gives the theoretical X-ray powder pattern in this record (Cu Kα).

Crystal structure
```
15
Lattice="-2.9599 2.9837 5.2373 2.9599 -2.9837 5.2373 2.9599 2.9837 -5.2373" Properties=species:S:1:pos:R:3 pbc="T T T"
Mg 0.0000 0.0000 0.0000
Zn 1.5086 0.0000 1.8999
Zn 4.4112 0.0000 1.8999
Fe 2.9599 -1.4185 3.4510
Fe 0.0000 0.0000 5.3002
Fe 2.9599 1.4185 3.4510
Fe 0.0000 2.9837 2.5999
O 0.0000 1.3671 1.4709
O 2.9599 1.4607 1.3078
O 1.4350 2.9837 -1.2472
O 1.5249 0.0000 3.9901
O -1.5786 2.9837 3.7364
O 1.5786 2.9837 3.7364
O 0.0000 1.5229 6.5451
O 0.0000 4.6002 1.4709
```

Main lines, sorted by position (10 to 80 degrees two-theta):
d_spacing	2θ (°)	I/Imax
5.237	16.93	67.3
5.185	17.10	38.5
3.278	27.21	93.6
3.011	29.67	100.0
2.582	34.75	71.8
2.571	34.90	82.6
2.101	43.05	33.1
1.968	46.12	36.1
1.950	46.57	33.4
1.639	56.12	51.6

Record 8
For Li9Mn2Co5O16, a GGA+U-relaxed structure gives the theoretical X-ray powder pattern in this record (Cu Kα).

Crystal structure
```
32
Lattice="5.9417 0.0000 0.0000 2.6416 5.8874 0.0000 2.8483 -0.1004 8.1000" Properties=species:S:1:pos:R:3 pbc="T T T"
Li 0.0000 0.0000 0.0000
Li 4.2490 1.3389 6.1553
Li 4.1605 4.4313 1.9450
Li 2.8487 2.9105 0.0151
Li 5.5909 5.7966 4.0523
Li 5.8408 -0.0096 4.0477
Li 8.5829 2.8765 8.0849
Li 7.2711 1.3557 6.1549
Li 7.1827 4.4481 1.9447
Mn 2.7450 2.8935 4.0500
Mn 5.7158 2.8935 4.0500
Co 1.3655 1.4100 2.0039
Co 7.0255 4.4081 6.1004
Co 2.9708 0.0000 0.0000
Co 4.4061 1.3789 1.9995
Co 10.0661 4.3770 6.0961
O 2.6779 2.8340 2.1164
O 5.4109 5.7308 6.0690
O 4.2644 4.2016 4.1134
O 1.5940 1.3021 0.1182
O 4.3936 1.4790 3.9542
O 5.7709 2.9193 5.9862
O 7.1584 4.3920 7.9763
O 3.0579 0.0173 1.9274
O 8.3737 5.7697 6.1725
O 4.2733 1.3951 0.1237
O 5.6607 2.8678 2.1138
O 7.0380 4.3080 4.1458
O 9.8376 4.4849 7.9818
O 7.1672 1.5854 3.9865
O 6.0207 0.0562 2.0309
O 8.7538 2.9530 5.9836
```

Main lines, sorted by position (10 to 80 degrees two-theta):
d_spacing	2θ (°)	I/Imax
4.790	18.52	100.0
2.577	34.81	16.9
2.454	36.62	11.7
2.443	36.79	11.7
2.150	42.02	30.4
2.033	44.57	25.5
2.025	44.75	25.2
1.483	62.65	7.4
1.476	62.98	7.5
1.472	63.16	14.6